No. 1
# PdSe2S2
Calculated XRD peak list, Cu Kα (weighted mean of Kα1 and Kα2). Input: the GGA-PBE geometry in OQMD.
Neutral-atom scattering factors, no anomalous dispersion.

Main lines, most intense first (2θ = 10–80°):
2θ/deg  I_rel
12.66  100
36.08  87
37.66  63
27.21  55
34.27  46
47.25  32
76.55  26
52.14  24
23.12  21
56.35  18
47.95  18
25.47  16

Atomic structure:
Cell: 4.607 13.988 3.265 Å, 90.00 90.00 90.00°
Fractional coordinates of all 10 atoms:
Pd 0.000 0.000 0.000
Pd 0.500 0.500 0.000
Se 0.187 0.387 0.500
Se 0.313 0.887 0.500
Se 0.687 0.113 0.500
Se 0.813 0.613 0.500
S 0.196 0.635 0.000
S 0.304 0.135 0.000
S 0.696 0.865 0.000
S 0.804 0.365 0.000

---

No. 2
# Ta2PdSe2S4
Calculated XRD peak list, Cu Kα (weighted mean of Kα1 and Kα2). Input: the GGA-PBE geometry in OQMD.
Neutral-atom scattering factors, no anomalous dispersion.

Main lines, most intense first (2θ = 10–80°):
2θ/deg  I_rel
13.82  100
36.14  34
31.77  31
15.83  27
30.91  25
45.59  20
43.94  19
38.00  18
34.87  16
34.08  15
57.07  14
54.80  14

Atomic structure:
Cell: 6.671 6.671 10.577 Å, 118.86 118.86 28.95°
Fractional coordinates of all 9 atoms:
Ta 0.185 0.185 0.297
Ta 0.815 0.815 0.703
Pd 0.500 0.500 0.000
Se 0.278 0.278 0.869
Se 0.722 0.722 0.131
S 0.167 0.167 0.534
S 0.478 0.478 0.765
S 0.522 0.522 0.235
S 0.833 0.833 0.466

---

No. 3
# Sn10PdS10
Calculated XRD peak list, Cu Kα (weighted mean of Kα1 and Kα2). Input: the GGA-PBE geometry in OQMD.
Neutral-atom scattering factors, no anomalous dispersion.

Main lines, most intense first (2θ = 10–80°):
2θ/deg  I_rel
27.42  100
32.12  42
32.70  38
45.64  34
21.98  33
26.24  32
42.90  28
39.69  21
35.37  17
24.49  17
24.72  16
46.01  15

Atomic structure:
Cell: 11.377 11.496 8.434 Å, 90.00 90.00 90.00°
Fractional coordinates of all 42 atoms:
Sn 0.000 0.000 0.231
Sn 0.000 0.000 0.769
Sn 0.133 0.408 0.264
Sn 0.133 0.408 0.736
Sn 0.152 0.685 0.000
Sn 0.234 0.674 0.500
Sn 0.266 0.174 0.500
Sn 0.348 0.185 0.000
Sn 0.367 0.908 0.264
Sn 0.367 0.908 0.736
Sn 0.500 0.500 0.231
Sn 0.500 0.500 0.769
Sn 0.633 0.092 0.264
Sn 0.633 0.092 0.736
Sn 0.652 0.815 0.000
Sn 0.734 0.826 0.500
Sn 0.766 0.326 0.500
Sn 0.848 0.315 0.000
Sn 0.867 0.592 0.264
Sn 0.867 0.592 0.736
Pd 0.000 0.500 0.000
Pd 0.500 0.000 0.000
S 0.011 0.322 0.500
S 0.138 0.910 0.000
S 0.175 0.189 0.197
S 0.175 0.189 0.803
S 0.202 0.927 0.500
S 0.298 0.427 0.500
S 0.325 0.689 0.197
S 0.325 0.689 0.803
S 0.362 0.410 0.000
S 0.489 0.822 0.500
S 0.511 0.178 0.500
S 0.638 0.590 0.000
S 0.675 0.311 0.197
S 0.675 0.311 0.803
S 0.702 0.573 0.500
S 0.798 0.073 0.500
S 0.825 0.811 0.197
S 0.825 0.811 0.803
S 0.862 0.090 0.000
S 0.989 0.678 0.500

---

No. 4
# Sn32Pd6S21
Calculated XRD peak list, Cu Kα (weighted mean of Kα1 and Kα2). Input: the GGA-PBE geometry in OQMD.
Neutral-atom scattering factors, no anomalous dispersion.

Main lines, most intense first (2θ = 10–80°):
2θ/deg  I_rel
31.79  100
26.85  81
44.05  66
15.74  38
12.43  32
34.73  30
36.58  30
38.77  29
37.32  18
32.63  18
23.03  18
48.51  17

Atomic structure:
Cell: 14.243 14.243 9.191 Å, 90.00 90.00 120.00°
Fractional coordinates of all 59 atoms:
Sn 0.000 0.148 0.000
Sn 0.000 0.338 0.197
Sn 0.000 0.489 0.694
Sn 0.000 0.859 0.400
Sn 0.140 0.300 0.673
Sn 0.141 0.141 0.400
Sn 0.148 0.000 0.000
Sn 0.157 0.650 0.257
Sn 0.159 0.860 0.673
Sn 0.182 0.514 0.942
Sn 0.300 0.140 0.673
Sn 0.332 0.818 0.942
Sn 0.333 0.667 0.558
Sn 0.338 0.000 0.197
Sn 0.350 0.507 0.257
Sn 0.486 0.668 0.942
Sn 0.489 0.000 0.694
Sn 0.493 0.843 0.257
Sn 0.507 0.350 0.257
Sn 0.511 0.511 0.694
Sn 0.514 0.182 0.942
Sn 0.650 0.157 0.257
Sn 0.662 0.662 0.197
Sn 0.667 0.333 0.558
Sn 0.668 0.486 0.942
Sn 0.700 0.841 0.673
Sn 0.818 0.332 0.942
Sn 0.841 0.700 0.673
Sn 0.843 0.493 0.257
Sn 0.852 0.852 0.000
Sn 0.859 0.000 0.400
Sn 0.860 0.159 0.673
Pd 0.000 0.000 0.191
Pd 0.000 0.325 0.857
Pd 0.325 0.000 0.857
Pd 0.333 0.667 0.113
Pd 0.667 0.333 0.113
Pd 0.675 0.675 0.857
S 0.000 0.462 0.414
S 0.000 0.579 0.075
S 0.000 0.820 0.856
S 0.163 0.327 0.307
S 0.164 0.837 0.307
S 0.180 0.180 0.856
S 0.190 0.681 0.737
S 0.319 0.509 0.737
S 0.327 0.163 0.307
S 0.421 0.421 0.075
S 0.462 0.000 0.414
S 0.491 0.810 0.737
S 0.509 0.319 0.737
S 0.538 0.538 0.414
S 0.579 0.000 0.075
S 0.673 0.836 0.307
S 0.681 0.190 0.737
S 0.810 0.491 0.737
S 0.820 0.000 0.856
S 0.836 0.673 0.307
S 0.837 0.164 0.307

---

No. 5
# Sn8Pd2S
Calculated XRD peak list, Cu Kα (weighted mean of Kα1 and Kα2). Input: the GGA-PBE geometry in OQMD.
Neutral-atom scattering factors, no anomalous dispersion.

Main lines, most intense first (2θ = 10–80°):
2θ/deg  I_rel
32.01  100
32.47  80
39.17  65
37.37  56
27.53  50
40.19  31
42.29  28
54.95  23
36.28  23
37.73  19
33.80  16
26.08  16

Atomic structure:
Cell: 10.209 10.209 10.609 Å, 90.00 90.00 90.00°
Fractional coordinates of all 44 atoms:
Sn 0.000 0.000 0.216
Sn 0.000 0.000 0.784
Sn 0.034 0.308 0.327
Sn 0.034 0.308 0.673
Sn 0.107 0.893 0.500
Sn 0.155 0.845 0.000
Sn 0.159 0.159 0.000
Sn 0.192 0.534 0.173
Sn 0.192 0.534 0.827
Sn 0.308 0.034 0.327
Sn 0.308 0.034 0.673
Sn 0.341 0.659 0.500
Sn 0.345 0.345 0.500
Sn 0.393 0.393 0.000
Sn 0.466 0.808 0.173
Sn 0.466 0.808 0.827
Sn 0.500 0.500 0.284
Sn 0.500 0.500 0.716
Sn 0.534 0.192 0.173
Sn 0.534 0.192 0.827
Sn 0.607 0.607 0.000
Sn 0.655 0.655 0.500
Sn 0.659 0.341 0.500
Sn 0.692 0.966 0.327
Sn 0.692 0.966 0.673
Sn 0.808 0.466 0.173
Sn 0.808 0.466 0.827
Sn 0.841 0.841 0.000
Sn 0.845 0.155 0.000
Sn 0.893 0.107 0.500
Sn 0.966 0.692 0.327
Sn 0.966 0.692 0.673
Pd 0.220 0.780 0.265
Pd 0.220 0.780 0.735
Pd 0.280 0.280 0.235
Pd 0.280 0.280 0.765
Pd 0.720 0.720 0.235
Pd 0.720 0.720 0.765
Pd 0.780 0.220 0.265
Pd 0.780 0.220 0.735
S 0.000 0.500 0.000
S 0.000 0.500 0.500
S 0.500 0.000 0.000
S 0.500 0.000 0.500

---

No. 6
# SrPd3S4
Calculated XRD peak list, Cu Kα (weighted mean of Kα1 and Kα2). Input: the GGA-PBE geometry in OQMD.
Neutral-atom scattering factors, no anomalous dispersion.

Main lines, most intense first (2θ = 10–80°):
2θ/deg  I_rel
29.47  100
32.35  64
50.37  36
54.12  27
46.41  26
48.42  25
62.83  22
75.54  19
77.06  10
64.48  9
37.53  7
26.30  2

Atomic structure:
Cell: 6.778 6.778 6.778 Å, 90.00 90.00 90.00°
Fractional coordinates of all 16 atoms:
Sr 0.000 0.000 0.000
Sr 0.500 0.500 0.500
Pd 0.000 0.250 0.500
Pd 0.000 0.750 0.500
Pd 0.250 0.500 0.000
Pd 0.500 0.000 0.250
Pd 0.500 0.000 0.750
Pd 0.750 0.500 0.000
S 0.250 0.250 0.250
S 0.250 0.250 0.750
S 0.250 0.750 0.250
S 0.250 0.750 0.750
S 0.750 0.250 0.250
S 0.750 0.250 0.750
S 0.750 0.750 0.250
S 0.750 0.750 0.750

---

No. 7
# Tl2Pd3S4
Calculated XRD peak list, Cu Kα (weighted mean of Kα1 and Kα2). Input: the GGA-PBE geometry in OQMD.
Neutral-atom scattering factors, no anomalous dispersion.

Main lines, most intense first (2θ = 10–80°):
2θ/deg  I_rel
33.09  100
36.18  76
27.20  71
24.43  63
38.42  58
30.29  54
32.87  51
28.66  46
14.38  43
33.85  41
56.24  39
16.76  37

Atomic structure:
Cell: 13.468 12.705 6.280 Å, 82.99 69.44 27.57°
Fractional coordinates of all 18 atoms:
Tl 0.051 0.051 0.199
Tl 0.199 0.199 0.051
Tl 0.801 0.801 0.949
Tl 0.949 0.949 0.801
Pd 0.126 0.126 0.624
Pd 0.375 0.375 0.375
Pd 0.376 0.376 0.874
Pd 0.624 0.624 0.126
Pd 0.625 0.625 0.625
Pd 0.874 0.874 0.376
S 0.152 0.473 0.265
S 0.265 0.609 0.152
S 0.391 0.735 0.527
S 0.473 0.152 0.609
S 0.527 0.848 0.391
S 0.609 0.265 0.473
S 0.735 0.391 0.848
S 0.848 0.527 0.735

---

No. 8
# YPd3S4
Calculated XRD peak list, Cu Kα (weighted mean of Kα1 and Kα2). Input: the GGA-PBE geometry in OQMD.
Neutral-atom scattering factors, no anomalous dispersion.

Main lines, most intense first (2θ = 10–80°):
2θ/deg  I_rel
29.81  100
32.73  66
50.98  37
54.79  27
46.96  26
49.00  25
63.62  22
76.55  19
78.10  10
65.30  9
37.97  7
26.60  3

Atomic structure:
Cell: 6.702 6.702 6.702 Å, 90.00 90.00 90.00°
Fractional coordinates of all 16 atoms:
Y 0.000 0.000 0.000
Y 0.500 0.500 0.500
Pd 0.000 0.250 0.500
Pd 0.000 0.750 0.500
Pd 0.250 0.500 0.000
Pd 0.500 0.000 0.250
Pd 0.500 0.000 0.750
Pd 0.750 0.500 0.000
S 0.250 0.250 0.250
S 0.250 0.250 0.750
S 0.250 0.750 0.250
S 0.250 0.750 0.750
S 0.750 0.250 0.250
S 0.750 0.250 0.750
S 0.750 0.750 0.250
S 0.750 0.750 0.750

---

No. 9
# SbPd17
Calculated XRD peak list, Cu Kα (weighted mean of Kα1 and Kα2). Input: the GGA-PBE geometry in OQMD.
Neutral-atom scattering factors, no anomalous dispersion.

Main lines, most intense first (2θ = 10–80°):
2θ/deg  I_rel
40.26  100
39.27  99
45.96  93
37.51  56
40.51  51
39.41  50
40.39  49
46.19  46
66.61  44
67.80  30
11.35  23
67.47  19

Atomic structure:
Cell: 4.781 5.554 31.173 Å, 90.00 90.12 90.00°
Fractional coordinates of all 36 atoms:
Sb 0.167 0.250 0.293
Sb 0.833 0.750 0.707
Pd 0.000 0.000 0.000
Pd 0.000 0.500 0.000
Pd 0.002 0.001 0.779
Pd 0.002 0.499 0.779
Pd 0.166 0.250 0.073
Pd 0.166 0.750 0.073
Pd 0.167 0.750 0.853
Pd 0.168 0.750 0.296
Pd 0.170 0.250 0.853
Pd 0.331 0.000 0.147
Pd 0.331 0.500 0.147
Pd 0.333 0.001 0.704
Pd 0.333 0.499 0.704
Pd 0.334 0.000 0.927
Pd 0.334 0.500 0.927
Pd 0.499 0.250 0.221
Pd 0.499 0.750 0.000
Pd 0.499 0.750 0.221
Pd 0.501 0.250 0.000
Pd 0.501 0.250 0.779
Pd 0.501 0.750 0.779
Pd 0.666 0.000 0.073
Pd 0.666 0.500 0.073
Pd 0.667 0.501 0.296
Pd 0.667 0.999 0.296
Pd 0.669 0.000 0.853
Pd 0.669 0.500 0.853
Pd 0.830 0.750 0.147
Pd 0.832 0.250 0.704
Pd 0.833 0.250 0.147
Pd 0.834 0.250 0.927
Pd 0.834 0.750 0.927
Pd 0.998 0.501 0.221
Pd 0.998 0.999 0.221